Structure and computed powder diffraction line list of Nb4FeRe (a crystal structure in Alexandria, relaxed with GGA-PBE; Cu Kα X-rays).
Peak positions follow from Bragg's law for the DFT cell and can differ from measured ones.

Largest 8 diffraction maxima, sorted by position, 2θ from 10° to 90°:
- 22.5 deg, intensity 27.9, (1 0 -1)
- 26.4 deg, intensity 70.7, (1 0 1)
- 39.6 deg, intensity 100.0, (1 1 -2)
- 39.9 deg, intensity 47.6, (2 0 0)
- 44.6 deg, intensity 72.6, (1 1 2)
- 44.7 deg, intensity 35.5, (0 2 0)
- 61.4 deg, intensity 26.1, (2 2 0)
- 68.8 deg, intensity 18.5, (3 1 -2)

Cell lengths 4.5831, 4.0561, 6.1744 Å; angles 90.00, 99.64, 90.00 degrees
Space group P2/m (No. 10)
Unique sites:
Nb: 0.0119 0.0000 0.2650 [2 per cell]
Nb: 0.4764 0.5000 0.7401 [2 per cell]
Fe: 0.5000 0.0000 0.5000 [1 per cell]
Re: 0.0000 0.5000 0.0000 [1 per cell]